Structure and theoretical X-ray powder pattern of K2InSbBr6 (a crystal structure in the Materials Project, relaxed with GGA-PBE; Cu Kα (weighted mean of Kα1 and Kα2)).
Intensities are scaled so that the largest is 100.

Largest 10 diffraction maxima, sorted by position, 2θ from 10° to 80°:
2θ (°), I_rel
15.12, 84.4
21.44, 18.7
26.34, 34.0
30.50, 100.0
34.21, 45.2
43.68, 71.5
46.48, 23.9
51.73, 13.6
54.21, 24.4
72.06, 30.1

Cell and atoms:
```
K2InSbBr6
1.0
0.0000 5.8614 5.8614
5.8614 0.0000 5.8614
5.8614 5.8614 0.0000
K In Sb Br
2 1 1 6
direct
0.2500 0.2500 0.2500
0.7500 0.7500 0.7500
0.0000 0.0000 0.0000
0.5000 0.5000 0.5000
0.2591 0.2591 0.7409
0.2591 0.7409 0.2591
0.2591 0.7409 0.7409
0.7409 0.2591 0.2591
0.7409 0.2591 0.7409
0.7409 0.7409 0.2591
```